# NaInO3
Calculated powder X-ray diffraction pattern, Cu Kα X-rays. Input: a cell relaxed with GGA-PBE.
Neutral-atom scattering factors, no anomalous dispersion.

Structure:
Unit cell a=4.239 b=4.239 c=4.239 alpha=90.00 beta=90.00 gamma=90.00
Fractional coordinates of all 5 atoms:
Na (0.000, 0.000, 0.000)
In (0.500, 0.500, 0.500)
O (0.000, 0.500, 0.500)
O (0.500, 0.000, 0.500)
O (0.500, 0.500, 0.000)

Top 8 peaks for 2θ = 5–70°, by intensity:
hkl  Position (°2θ)  I/Imax
1 1 0  29.81  100.0
1 0 0  20.96  94.6
2 0 0  42.66  42.6
2 1 1  52.91  40.0
2 1 0  47.99  39.3
2 2 0  61.92  24.8
3 0 0  66.13  17.8
1 1 1  36.72  4.5